1.
Theoretical powder diffractogram of Ca2PuBe2O6 for λ = 1.5418 Å (Cu Kα), from a cell relaxed with PBE.

Largest 8 diffraction maxima, low angle first, 15 to 90 degrees two-theta:
15.10 deg, d = 5.867 Å, I = 27
18.96 deg, d = 4.680 Å, I = 42
24.33 deg, d = 3.659 Å, I = 100
33.15 deg, d = 2.702 Å, I = 28
36.14 deg, d = 2.486 Å, I = 36
41.55 deg, d = 2.174 Å, I = 27
45.65 deg, d = 1.987 Å, I = 19
54.16 deg, d = 1.694 Å, I = 24

Crystal structure
```
Ca2PuBe2O6
1.0
5.404 0.000 0.000
-2.702 4.680 0.000
0.000 0.000 5.867
Ca Pu Be O
2 1 2 6
Cartesian
0.000 3.120 2.170 Ca
2.702 1.560 3.697 Ca
0.000 0.000 0.000 Pu
0.000 3.120 4.789 Be
2.702 1.560 1.078 Be
-1.521 3.286 4.541 O
0.617 1.720 4.541 O
1.798 0.326 1.327 O
0.904 4.355 4.541 O
2.085 2.960 1.327 O
4.223 1.395 1.327 O
```



2.
Theoretical powder diffractogram of CaBeS2O8 for λ = 1.5418 Å (Cu Kα), from a cell relaxed with PBE.

Largest 8 diffraction maxima, low angle first, 15 to 90 degrees two-theta:
25.32 deg, d = 3.517 Å, I = 100
34.56 deg, d = 2.595 Å, I = 21
37.62 deg, d = 2.391 Å, I = 24
40.07 deg, d = 2.251 Å, I = 34
40.64 deg, d = 2.220 Å, I = 17
52.00 deg, d = 1.759 Å, I = 14
60.78 deg, d = 1.524 Å, I = 10
68.70 deg, d = 1.366 Å, I = 13

Crystal structure
```
CaBeS2O8
1.0
4.782 0.000 0.000
-2.391 4.142 0.000
0.000 0.000 6.660
Ca Be S O
1 1 2 8
Cartesian
0.000 0.000 0.000 Ca
0.000 0.000 3.330 Be
0.000 2.761 4.910 S
2.391 1.381 1.750 S
-0.400 1.400 4.466 O
-0.979 3.788 4.466 O
0.000 2.761 6.398 O
1.013 1.046 2.194 O
1.378 3.096 4.466 O
2.391 1.381 0.262 O
3.370 0.354 2.194 O
2.791 2.742 2.194 O
```



3.
Theoretical powder diffractogram of CaBe4Sb3O12 for λ = 1.5418 Å (Cu Kα), from a cell relaxed with PBE.

Largest 8 diffraction maxima, low angle first, 15 to 90 degrees two-theta:
17.40 deg, d = 5.097 Å, I = 61
23.19 deg, d = 3.836 Å, I = 100
29.13 deg, d = 3.065 Å, I = 34
30.69 deg, d = 2.914 Å, I = 83
35.22 deg, d = 2.548 Å, I = 20
43.72 deg, d = 2.070 Å, I = 50
50.27 deg, d = 1.815 Å, I = 24
51.47 deg, d = 1.776 Å, I = 17

Crystal structure
```
CaBe4Sb3O12
1.0
5.097 2.943 2.586
-5.097 2.943 2.586
0.000 -5.885 2.586
Ca Be Sb O
1 4 3 12
Cartesian
0.000 0.000 0.000 Ca
-2.255 -3.906 3.879 Be
0.000 0.000 3.879 Be
-2.255 3.906 3.879 Be
4.510 0.000 3.879 Be
-2.800 -1.036 2.586 Sb
2.297 -1.907 2.586 Sb
0.503 2.943 2.586 Sb
-3.116 -2.636 3.721 O
-4.098 0.000 3.879 O
-0.725 -4.016 4.037 O
-1.552 0.000 3.879 O
-3.116 2.636 4.037 O
2.049 -3.549 3.879 O
0.776 -1.344 3.879 O
-0.725 4.016 3.721 O
0.776 1.344 3.879 O
3.841 -1.380 3.721 O
2.049 3.549 3.879 O
3.841 1.380 4.037 O
```